No. 1
Er2B4C: calculated PXRD pattern (Cu Kα (λ = 1.5418 Å)), based on a DFT-relaxed cell (PBE, the Materials Project).

Peak list (10 most intense, 15° ≤ 2θ ≤ 90°, by angle)
3.711 Å, I = 56; 3.280 Å, I = 57; 2.919 Å, I = 76; 2.457 Å, I = 55; 2.294 Å, I = 100; 1.816 Å, I = 24; 1.631 Å, I = 39; 1.566 Å, I = 21; 1.358 Å, I = 17; 1.157 Å, I = 14

```
data_Er2B4C
_chemical_formula_sum 'Er4 B8 C2'
_cell_length_a 3.259
_cell_length_b 6.560
_cell_length_c 7.421
_cell_angle_alpha 90.00
_cell_angle_beta 90.00
_cell_angle_gamma 90.00
_symmetry_space_group_name_H-M 'I m m m'
_symmetry_Int_Tables_number 71
_symmetry_space_group_name_Hall '-I 2 2'
loop_
_atom_site_label
_atom_site_fract_x
_atom_site_fract_y
_atom_site_fract_z
_atom_site_occupancy
Er1 0.000 0.000 0.234 1
B1 0.000 0.272 0.500 1
B2 0.000 0.366 0.000 1
C1 0.000 0.500 0.500 1
```



No. 2
Er4LuNi10B10C5: calculated PXRD pattern (Cu Kα (λ = 1.5418 Å)), based on a DFT-relaxed cell (PBE, the Materials Project).

Peak list (10 most intense, 15° ≤ 2θ ≤ 90°, by angle)
3.319 Å, I = 66; 2.606 Å, I = 36; 2.466 Å, I = 42; 2.236 Å, I = 100; 1.791 Å, I = 11; 1.750 Å, I = 26; 1.548 Å, I = 16; 1.453 Å, I = 23; 1.427 Å, I = 15; 1.422 Å, I = 24

```
data_Er4LuNi10B10C5
_chemical_formula_sum 'Er8 Lu2 Ni20 B20 C10'
_cell_length_a 14.798
_cell_length_b 3.498
_cell_length_c 12.562
_cell_angle_alpha 90.00
_cell_angle_beta 100.84
_cell_angle_gamma 90.00
_symmetry_space_group_name_H-M 'C 1 2/m 1'
_symmetry_Int_Tables_number 12
_symmetry_space_group_name_Hall '-C 2y'
loop_
_atom_site_label
_atom_site_fract_x
_atom_site_fract_y
_atom_site_fract_z
_atom_site_occupancy
Er1 0.100 0.000 0.100 1
Er2 0.200 0.500 0.700 1
Lu1 0.000 0.500 0.500 1
Ni1 0.000 0.500 0.250 1
Ni2 0.100 0.000 0.350 1
Ni3 0.100 0.000 0.850 1
Ni4 0.200 0.500 0.450 1
Ni5 0.200 0.500 0.950 1
B1 0.043 0.000 0.685 1
B2 0.057 0.500 0.915 1
B3 0.143 0.500 0.285 1
B4 0.157 0.000 0.515 1
B5 0.243 0.000 0.885 1
C1 0.000 0.500 0.000 1
C2 0.099 0.000 0.599 1
C3 0.200 0.500 0.200 1
```



No. 3
ErB2Rh2C: calculated PXRD pattern (Cu Kα (λ = 1.5418 Å)), based on a DFT-relaxed cell (PBE, the Materials Project).

Peak list (10 most intense, 15° ≤ 2θ ≤ 90°, by angle)
3.557 Å, I = 40; 2.585 Å, I = 30; 2.550 Å, I = 24; 2.379 Å, I = 100; 1.894 Å, I = 27; 1.672 Å, I = 10; 1.528 Å, I = 24; 1.449 Å, I = 22; 1.189 Å, I = 10; 1.167 Å, I = 20

```
data_ErB2Rh2C
_chemical_formula_sum 'Er2 B4 Rh4 C2'
_cell_length_a 3.788
_cell_length_b 3.788
_cell_length_c 10.342
_cell_angle_alpha 90.00
_cell_angle_beta 90.00
_cell_angle_gamma 90.00
_symmetry_space_group_name_H-M 'I 4/m m m'
_symmetry_Int_Tables_number 139
_symmetry_space_group_name_Hall '-I 4 2'
loop_
_atom_site_label
_atom_site_fract_x
_atom_site_fract_y
_atom_site_fract_z
_atom_site_occupancy
Er1 0.000 0.000 0.000 1
B1 0.000 0.000 0.356 1
Rh1 0.000 0.500 0.250 1
C1 0.000 0.000 0.500 1
```